Diffraction record for SmMnO3. The powder X-ray diffraction pattern is computed, not measured: it uses the GGA+U geometry in the Materials Project and Cu Kα (λ = 1.5418 Å).
Lines closer than 0.1° are merged.

Most intense lines, 15 to 90 degrees two-theta, low angle first:
2θ 22.24, 3.997 Å, I = 15
2θ 23.40, 3.802 Å, I = 11
2θ 25.17, 3.538 Å, I = 26
2θ 30.26, 2.953 Å, I = 16
2θ 32.51, 2.754 Å, I = 100
2θ 33.00, 2.714 Å, I = 21
2θ 40.85, 2.209 Å, I = 10
2θ 45.38, 1.999 Å, I = 14
2θ 47.01, 1.933 Å, I = 16
2θ 47.86, 1.901 Å, I = 12
2θ 50.76, 1.798 Å, I = 19
2θ 58.62, 1.575 Å, I = 19

Structure:
abc: 5.9069 7.6030 5.4289
angles: 90.00 90.00 90.00
Atoms (fractional coordinates):
Sm 0.0766 0.2500 0.0174
Sm 0.4234 0.7500 0.5174
Sm 0.5766 0.2500 0.4826
Sm 0.9234 0.7500 0.9826
Mn 0.0000 0.0000 0.5000
Mn 0.0000 0.5000 0.5000
Mn 0.5000 0.0000 0.0000
Mn 0.5000 0.5000 0.0000
O 0.0326 0.7500 0.3944
O 0.1800 0.5518 0.7916
O 0.1800 0.9482 0.7916
O 0.3200 0.0518 0.2916
O 0.3200 0.4482 0.2916
O 0.4674 0.2500 0.8944
O 0.5326 0.7500 0.1056
O 0.6800 0.5518 0.7084
O 0.6800 0.9482 0.7084
O 0.8200 0.0518 0.2084
O 0.8200 0.4482 0.2084
O 0.9674 0.2500 0.6056